This entry pairs a crystal structure of SrZnF2 with its simulated PXRD pattern. Radiation: Cu Ka. Structure: the GGA-PBE geometry in the Materials Project.
Lines closer than 0.1° are merged.

The 8 most intense peaks (10 to 90 degrees two-theta), sorted by position:
| 2θ (°) | I_rel |
| --- | --- |
| 27.66 | 100 |
| 31.31 | 38 |
| 32.42 | 73 |
| 45.69 | 48 |
| 46.50 | 23 |
| 53.53 | 22 |
| 54.97 | 38 |
| 57.13 | 23 |

Crystal structure
```
16
Lattice="-3.906 3.906 5.714 3.906 -3.906 5.714 3.906 3.906 -5.714" Properties=species:S:1:pos:R:3 pbc="T T T"
Sr 0.000 0.000 0.000
Sr -1.953 1.953 2.857
Sr 0.000 3.906 0.000
Sr 1.953 1.953 2.857
Zn 1.953 1.953 -2.857
Zn 1.953 -1.953 2.857
Zn 3.906 0.000 0.000
Zn 0.000 0.000 5.714
F -0.008 0.467 2.450
F 1.486 1.945 0.407
F 2.420 -1.945 6.121
F 3.898 0.467 3.264
F 0.008 3.439 2.450
F 1.486 5.851 -0.407
F 2.420 1.961 5.306
F 3.914 3.439 3.264
```

This entry pairs a crystal structure of Sr5Zr3F22 with its simulated PXRD pattern. Radiation: Cu Ka. Structure: the GGA-PBE geometry in the Materials Project.
Lines closer than 0.1° are merged.

The 8 most intense peaks (10 to 90 degrees two-theta), sorted by position:
| 2θ (°) | I_rel |
| --- | --- |
| 24.04 | 92 |
| 26.93 | 33 |
| 28.67 | 100 |
| 43.49 | 38 |
| 45.26 | 56 |
| 50.30 | 25 |
| 50.85 | 15 |
| 53.40 | 19 |

Crystal structure
```
60
Lattice="7.745 0.000 0.000 0.000 10.476 0.000 0.000 0.000 10.462" Properties=species:S:1:pos:R:3 pbc="T T T"
Sr 0.000 0.000 0.208
Sr 0.000 0.000 4.830
Sr 0.000 5.238 9.804
Sr 1.830 3.065 2.649
Sr 2.042 8.303 7.813
Sr 3.873 0.000 0.658
Sr 3.873 5.238 5.633
Sr 3.873 5.238 10.255
Sr 5.703 2.173 7.813
Sr 5.915 7.411 2.649
Zr 0.000 5.238 5.629
Zr 1.915 2.210 8.091
Zr 1.957 7.448 2.372
Zr 3.873 0.000 4.834
Zr 5.788 3.028 2.372
Zr 5.830 8.266 8.091
F 0.089 2.099 9.144
F 0.208 6.885 1.310
F 0.498 8.811 3.090
F 0.527 1.580 6.645
F 0.682 6.398 3.882
F 0.695 4.071 7.373
F 1.647 6.371 6.280
F 1.656 4.128 4.932
F 1.688 0.169 8.698
F 1.831 1.173 1.196
F 1.862 8.867 0.812
F 2.011 3.629 9.650
F 2.042 6.410 9.267
F 2.185 5.407 1.765
F 2.216 9.366 5.531
F 2.226 1.133 4.182
F 3.178 9.309 3.089
F 3.190 1.160 6.580
F 3.346 6.818 3.818
F 3.374 3.573 7.372
F 3.665 1.647 9.152
F 3.783 7.337 1.318
F 3.962 3.139 1.318
F 4.080 8.829 9.152
F 4.371 6.903 7.372
F 4.400 3.658 3.818
F 4.555 9.316 6.580
F 4.568 1.166 3.089
F 5.520 9.343 4.182
F 5.529 1.110 5.531
F 5.561 5.069 1.765
F 5.704 4.065 9.267
F 5.735 6.847 9.650
F 5.884 1.609 0.812
F 5.915 9.303 1.196
F 6.057 10.307 8.698
F 6.089 6.348 4.932
F 6.098 4.105 6.280
F 7.050 6.404 7.373
F 7.063 4.078 3.882
F 7.219 8.896 6.645
F 7.247 1.665 3.090
F 7.538 3.591 1.310
F 7.656 8.377 9.144
```

This entry pairs a crystal structure of TaF5 with its simulated PXRD pattern. Radiation: Cu Ka. Structure: the GGA-PBE geometry in the Materials Project.
Lines closer than 0.1° are merged.

The 8 most intense peaks (10 to 90 degrees two-theta), sorted by position:
| 2θ (°) | I_rel |
| --- | --- |
| 16.98 | 27 |
| 20.17 | 26 |
| 20.97 | 53 |
| 21.74 | 100 |
| 25.85 | 62 |
| 36.51 | 31 |
| 40.81 | 25 |
| 43.62 | 37 |

Crystal structure
```
24
Lattice="4.936 -7.387 0.000 4.936 7.387 0.000 -0.551 0.000 5.222" Properties=species:S:1:pos:R:3 pbc="T T T"
Ta 4.936 4.428 0.000
Ta 2.114 0.000 3.909
Ta 7.207 0.000 1.313
Ta 4.936 -4.428 0.000
F 0.700 1.398 4.593
F 3.516 4.683 3.567
F 1.056 0.000 2.355
F 3.712 3.194 0.652
F 0.700 -1.398 4.593
F 3.227 1.393 3.396
F 5.805 4.683 1.655
F 3.234 0.000 0.492
F 5.609 3.194 4.571
F 3.227 -1.393 3.396
F 6.094 1.393 1.826
F 3.712 -3.194 0.652
F 6.087 0.000 4.731
F 3.516 -4.683 3.567
F 6.094 -1.393 1.826
F 8.621 1.398 0.630
F 5.609 -3.194 4.571
F 8.265 0.000 2.867
F 5.805 -4.683 1.655
F 8.621 -1.398 0.630
```